# 1
Simulated X-ray powder pattern
Compound: Mg17Al11Hg
Radiation: Cu Kα
Structure: a DFT-relaxed cell (PBE, the Materials Project)

Largest 10 diffraction maxima, by angle, 2θ = 10–90°:
2θ = 11.8°, rel. 100.0; 2θ = 16.8°, rel. 29.5; 2θ = 20.5°, rel. 41.4; 2θ = 20.7°, rel. 44.3; 2θ = 26.6°, rel. 29.6; 2θ = 36.0°, rel. 92.0; 2θ = 36.1°, rel. 33.7; 2θ = 36.2°, rel. 30.1; 2θ = 40.2°, rel. 24.5; 2θ = 43.7°, rel. 27.4

```
data_Mg17Al11Hg
_cell_length_a 9.106
_cell_length_b 9.106
_cell_length_c 9.179
_cell_angle_alpha 109.45
_cell_angle_beta 109.45
_cell_angle_gamma 108.95
_symmetry_space_group_name_H-M 'P 1'
_symmetry_Int_Tables_number 1
loop_
_symmetry_equiv_pos_as_xyz
'x,y,z'
loop_
_atom_site_label
_atom_site_type_symbol
_atom_site_fract_x
_atom_site_fract_y
_atom_site_fract_z
Mg1 Mg 0.000 0.000 0.000
Mg2 Mg 0.055 0.344 0.663
Mg3 Mg 0.057 0.658 0.346
Mg4 Mg 0.260 0.945 0.263
Mg5 Mg 0.262 0.262 0.951
Mg6 Mg 0.316 0.662 0.665
Mg7 Mg 0.343 0.659 0.060
Mg8 Mg 0.344 0.055 0.663
Mg9 Mg 0.372 0.976 0.979
Mg10 Mg 0.657 0.657 0.319
Mg11 Mg 0.658 0.057 0.346
Mg12 Mg 0.659 0.343 0.060
Mg13 Mg 0.661 0.661 0.662
Mg14 Mg 0.662 0.316 0.665
Mg15 Mg 0.945 0.260 0.263
Mg16 Mg 0.970 0.970 0.375
Mg17 Mg 0.976 0.372 0.979
Al1 Al 0.025 0.661 0.846
Al2 Al 0.026 0.844 0.662
Al3 Al 0.294 0.480 0.294
Al4 Al 0.475 0.840 0.477
Al5 Al 0.480 0.294 0.294
Al6 Al 0.480 0.480 0.855
Al7 Al 0.660 0.846 0.029
Al8 Al 0.661 0.025 0.846
Al9 Al 0.840 0.475 0.477
Al10 Al 0.844 0.026 0.662
Al11 Al 0.846 0.660 0.029
Hg1 Hg 0.284 0.284 0.485
```

=====

# 2
Simulated X-ray powder pattern
Compound: Al2HgSe4
Radiation: Cu Kα
Structure: a DFT-relaxed cell (PBE, the Materials Project)

Largest 10 diffraction maxima, by angle, 2θ = 10–90°:
2θ = 17.1°, rel. 36.7; 2θ = 21.4°, rel. 22.6; 2θ = 26.9°, rel. 100.0; 2θ = 28.8°, rel. 23.2; 2θ = 34.6°, rel. 20.3; 2θ = 35.1°, rel. 28.0; 2θ = 43.5°, rel. 25.8; 2θ = 45.3°, rel. 45.0; 2θ = 51.9°, rel. 29.9; 2θ = 81.2°, rel. 14.3

```
data_Al2HgSe4
_cell_length_a 5.881
_cell_length_b 5.881
_cell_length_c 10.924
_cell_angle_alpha 90.00
_cell_angle_beta 90.00
_cell_angle_gamma 90.00
_symmetry_space_group_name_H-M 'P 1'
_symmetry_Int_Tables_number 1
loop_
_symmetry_equiv_pos_as_xyz
'x,y,z'
loop_
_atom_site_label
_atom_site_type_symbol
_atom_site_fract_x
_atom_site_fract_y
_atom_site_fract_z
Al1 Al 0.000 0.000 0.000
Al2 Al 0.000 0.500 0.250
Al3 Al 0.500 0.000 0.750
Al4 Al 0.500 0.500 0.500
Hg1 Hg 0.000 0.000 0.500
Hg2 Hg 0.500 0.500 0.000
Se1 Se 0.227 0.230 0.862
Se2 Se 0.230 0.773 0.138
Se3 Se 0.270 0.727 0.638
Se4 Se 0.273 0.270 0.362
Se5 Se 0.727 0.730 0.362
Se6 Se 0.730 0.273 0.638
Se7 Se 0.770 0.227 0.138
Se8 Se 0.773 0.770 0.862
```

=====

# 3
Simulated X-ray powder pattern
Compound: Al2Hg5Se8
Radiation: Cu Kα
Structure: a DFT-relaxed cell (PBE, the Materials Project)

Largest 10 diffraction maxima, by angle, 2θ = 10–90°:
2θ = 12.9°, rel. 37.9; 2θ = 24.2°, rel. 100.0; 2θ = 25.8°, rel. 82.0; 2θ = 25.9°, rel. 83.9; 2θ = 28.3°, rel. 71.7; 2θ = 37.8°, rel. 51.2; 2θ = 42.5°, rel. 48.4; 2θ = 43.2°, rel. 36.7; 2θ = 43.6°, rel. 34.9; 2θ = 43.7°, rel. 33.7

```
data_Al2Hg5Se8
_cell_length_a 8.405
_cell_length_b 8.443
_cell_length_c 27.922
_cell_angle_alpha 97.17
_cell_angle_beta 90.48
_cell_angle_gamma 118.45
_symmetry_space_group_name_H-M 'P 1'
_symmetry_Int_Tables_number 1
loop_
_symmetry_equiv_pos_as_xyz
'x,y,z'
loop_
_atom_site_label
_atom_site_type_symbol
_atom_site_fract_x
_atom_site_fract_y
_atom_site_fract_z
Al1 Al 0.000 0.000 0.000
Al2 Al 0.007 0.515 0.501
Al3 Al 0.243 0.632 0.121
Al4 Al 0.254 0.886 0.379
Al5 Al 0.494 0.248 0.254
Al6 Al 0.512 0.766 0.747
Al7 Al 0.743 0.379 0.875
Al8 Al 0.763 0.143 0.625
Hg1 Hg 0.010 0.530 0.004
Hg2 Hg 0.025 0.029 0.504
Hg3 Hg 0.212 0.598 0.618
Hg4 Hg 0.227 0.138 0.615
Hg5 Hg 0.237 0.102 0.120
Hg6 Hg 0.249 0.877 0.874
Hg7 Hg 0.268 0.375 0.374
Hg8 Hg 0.280 0.398 0.866
Hg9 Hg 0.447 0.467 0.504
Hg10 Hg 0.467 0.986 0.004
Hg11 Hg 0.512 0.779 0.253
Hg12 Hg 0.524 0.281 0.754
Hg13 Hg 0.710 0.346 0.368
Hg14 Hg 0.729 0.891 0.361
Hg15 Hg 0.737 0.851 0.869
Hg16 Hg 0.747 0.127 0.124
Hg17 Hg 0.769 0.626 0.624
Hg18 Hg 0.774 0.643 0.121
Hg19 Hg 0.955 0.722 0.757
Hg20 Hg 0.958 0.230 0.251
Se1 Se 0.028 0.263 0.664
Se2 Se 0.037 0.516 0.905
Se3 Se 0.052 0.038 0.910
Se4 Se 0.056 0.018 0.405
Se5 Se 0.064 0.552 0.410
Se6 Se 0.067 0.762 0.163
Se7 Se 0.070 0.790 0.660
Se8 Se 0.077 0.310 0.152
Se9 Se 0.296 0.178 0.024
Se10 Se 0.301 0.925 0.289
Se11 Se 0.307 0.684 0.523
Se12 Se 0.313 0.401 0.276
Se13 Se 0.315 0.441 0.769
Se14 Se 0.321 0.905 0.776
Se15 Se 0.326 0.638 0.035
Se16 Se 0.352 0.129 0.526
Se17 Se 0.530 0.766 0.154
Se18 Se 0.531 0.011 0.414
Se19 Se 0.543 0.276 0.165
Se20 Se 0.564 0.269 0.654
Se21 Se 0.564 0.512 0.912
Se22 Se 0.572 0.811 0.655
Se23 Se 0.574 0.054 0.905
Se24 Se 0.574 0.548 0.407
Se25 Se 0.795 0.679 0.025
Se26 Se 0.799 0.429 0.273
Se27 Se 0.804 0.933 0.774
Se28 Se 0.815 0.653 0.526
Se29 Se 0.818 0.188 0.534
Se30 Se 0.819 0.152 0.026
Se31 Se 0.831 0.381 0.789
Se32 Se 0.845 0.885 0.270
```

=====

# 4
Simulated X-ray powder pattern
Compound: Al2Hg5Se8
Radiation: Cu Kα
Structure: a DFT-relaxed cell (PBE, the Materials Project)

Largest 10 diffraction maxima, by angle, 2θ = 10–90°:
2θ = 12.9°, rel. 29.1; 2θ = 25.5°, rel. 55.8; 2θ = 25.8°, rel. 100.0; 2θ = 25.9°, rel. 50.7; 2θ = 41.9°, rel. 23.0; 2θ = 42.4°, rel. 22.0; 2θ = 42.5°, rel. 23.7; 2θ = 42.9°, rel. 22.6; 2θ = 43.1°, rel. 21.3; 2θ = 43.2°, rel. 21.4

```
data_Al2Hg5Se8
_cell_length_a 8.405
_cell_length_b 8.443
_cell_length_c 27.922
_cell_angle_alpha 97.17
_cell_angle_beta 90.48
_cell_angle_gamma 118.45
_symmetry_space_group_name_H-M 'P 1'
_symmetry_Int_Tables_number 1
loop_
_symmetry_equiv_pos_as_xyz
'x,y,z'
loop_
_atom_site_label
_atom_site_type_symbol
_atom_site_fract_x
_atom_site_fract_y
_atom_site_fract_z
Al1 Al 0.000 0.000 0.000
Al2 Al 0.015 0.012 0.504
Al3 Al 0.131 0.248 0.380
Al4 Al 0.383 0.746 0.125
Al5 Al 0.642 0.260 0.872
Al6 Al 0.746 0.499 0.246
Al7 Al 0.770 0.514 0.750
Al8 Al 0.890 0.763 0.627
Hg1 Hg 0.024 0.495 0.499
Hg2 Hg 0.094 0.225 0.883
Hg3 Hg 0.147 0.779 0.378
Hg4 Hg 0.212 0.962 0.744
Hg5 Hg 0.225 0.500 0.741
Hg6 Hg 0.254 0.998 0.250
Hg7 Hg 0.277 0.510 0.246
Hg8 Hg 0.334 0.717 0.630
Hg9 Hg 0.397 0.280 0.129
Hg10 Hg 0.460 0.460 0.493
Hg11 Hg 0.472 0.998 0.486
Hg12 Hg 0.505 0.497 0.999
Hg13 Hg 0.529 0.010 0.991
Hg14 Hg 0.592 0.228 0.377
Hg15 Hg 0.661 0.782 0.880
Hg16 Hg 0.739 0.968 0.245
Hg17 Hg 0.775 0.996 0.749
Hg18 Hg 0.853 0.737 0.130
Hg19 Hg 0.912 0.279 0.630
Hg20 Hg 0.989 0.467 0.995
Se1 Se 0.003 0.917 0.915
Se2 Se 0.066 0.666 0.279
Se3 Se 0.075 0.673 0.790
Se4 Se 0.091 0.187 0.290
Se5 Se 0.113 0.197 0.786
Se6 Se 0.203 0.450 0.150
Se7 Se 0.213 0.953 0.649
Se8 Se 0.228 0.925 0.152
Se9 Se 0.261 0.401 0.652
Se10 Se 0.324 0.167 0.030
Se11 Se 0.327 0.171 0.539
Se12 Se 0.345 0.694 0.036
Se13 Se 0.364 0.701 0.533
Se14 Se 0.454 0.448 0.398
Se15 Se 0.467 0.957 0.895
Se16 Se 0.480 0.427 0.901
Se17 Se 0.498 0.901 0.396
Se18 Se 0.601 0.669 0.780
Se19 Se 0.610 0.213 0.781
Se20 Se 0.612 0.208 0.277
Se21 Se 0.612 0.670 0.288
Se22 Se 0.702 0.948 0.149
Se23 Se 0.724 0.926 0.652
Se24 Se 0.735 0.469 0.660
Se25 Se 0.744 0.419 0.160
Se26 Se 0.844 0.169 0.530
Se27 Se 0.856 0.708 0.535
Se28 Se 0.859 0.170 0.038
Se29 Se 0.862 0.705 0.030
Se30 Se 0.960 0.453 0.899
Se31 Se 0.972 0.423 0.402
Se32 Se 0.972 0.961 0.415
```